Structure and computed PXRD pattern of IrOF (DFT lattice parameters and positions (PBE); Cu Kα X-rays).

Structure:
```
IrOF
1.0
5.250 0.000 0.000
0.000 4.726 0.000
-2.050 0.000 5.320
Ir O F
4 4 4
Cartesian
0.444 0.055 2.159
-0.581 2.308 4.819
3.781 2.418 0.501
2.757 4.671 3.161
-0.604 0.680 3.730
0.421 1.683 1.070
2.779 3.043 4.250
3.804 4.046 1.590
0.391 3.007 3.189
1.416 4.082 0.529
1.784 0.644 4.791
2.809 1.719 2.131
```

Largest 8 diffraction maxima, by intensity, 2θ from 15° to 90°:
2θ 25.2, 3.533 Å, I = 100
2θ 36.7, 2.449 Å, I = 38
2θ 27.4, 3.258 Å, I = 30
2θ 32.0, 2.797 Å, I = 30
2θ 39.4, 2.285 Å, I = 30
2θ 51.9, 1.763 Å, I = 27
2θ 34.7, 2.587 Å, I = 27
2θ 38.1, 2.363 Å, I = 25

---

Structure and computed PXRD pattern of K2LiPtF6 (DFT lattice parameters and positions (PBE); Cu Kα X-rays).

Structure:
```
K2LiPtF6
1.0
-2.795 2.795 4.155
2.795 -2.795 4.155
2.795 2.795 -4.155
K Li Pt F
2 1 1 6
Cartesian
2.795 0.000 2.077
0.000 2.795 2.077
0.000 0.000 0.000
0.000 0.000 4.155
0.000 0.000 1.924
1.390 1.390 0.000
1.405 -1.405 4.155
-1.405 1.405 4.155
1.405 1.405 4.155
0.000 0.000 6.386
```

Largest 8 diffraction maxima, by intensity, 2θ from 15° to 90°:
2θ 19.1, 4.638 Å, I = 100
2θ 31.2, 2.864 Å, I = 54
2θ 37.6, 2.394 Å, I = 38
2θ 36.2, 2.482 Å, I = 25
2θ 22.5, 3.952 Å, I = 25
2θ 32.0, 2.795 Å, I = 25
2θ 45.9, 1.976 Å, I = 24
2θ 49.1, 1.856 Å, I = 21

---

Structure and computed PXRD pattern of K2LiPtF6 (DFT lattice parameters and positions (PBE); Cu Kα X-rays).

Structure:
```
K2LiPtF6
1.0
2.833 1.635 4.647
-2.833 1.635 4.647
0.000 -3.271 4.647
K Li Pt F
2 1 1 6
Cartesian
0.000 0.000 3.487
0.000 0.000 10.455
0.000 0.000 0.000
0.000 0.000 6.971
-0.006 -1.677 5.774
-1.450 0.843 5.774
-1.455 -0.834 8.167
1.455 0.834 5.774
1.450 -0.843 8.167
0.006 1.677 8.167
```

Largest 8 diffraction maxima, by intensity, 2θ from 15° to 90°:
2θ 19.2, 4.633 Å, I = 100
2θ 31.5, 2.837 Å, I = 78
2θ 37.1, 2.421 Å, I = 47
2θ 22.2, 4.012 Å, I = 39
2θ 45.2, 2.006 Å, I = 38
2θ 56.2, 1.637 Å, I = 23
2θ 37.2, 2.416 Å, I = 16
2θ 49.6, 1.838 Å, I = 15

---

Structure and computed PXRD pattern of KLu3F10 (DFT lattice parameters and positions (PBE); Cu Kα X-rays).

Structure:
```
KLu3F10
1.0
7.832 0.000 0.000
-3.916 6.783 0.000
0.000 0.000 12.796
K Lu F
4 12 40
Cartesian
0.000 0.000 0.000
0.000 0.000 6.398
0.000 4.522 3.157
3.916 2.261 9.555
-1.883 3.435 12.701
0.000 2.362 9.639
-1.871 5.602 9.639
2.045 1.181 3.241
1.883 3.435 12.701
0.000 6.696 12.701
3.916 0.087 6.303
2.033 3.348 6.303
1.871 5.602 9.639
5.787 1.181 3.241
3.916 4.421 3.241
5.799 3.348 6.303
-1.299 2.262 1.575
-2.606 4.527 1.575
-1.765 3.503 10.446
0.000 1.506 3.696
-2.611 6.030 3.696
0.000 2.468 11.895
-1.779 5.549 11.895
0.000 2.994 5.821
-1.323 5.286 5.821
1.305 0.753 10.094
1.299 2.262 1.575
0.000 4.522 0.529
0.000 4.522 8.959
-1.307 6.777 1.575
2.609 0.006 7.973
1.310 2.256 7.973
2.137 1.234 5.497
2.593 1.497 12.218
1.765 3.503 10.446
0.000 6.560 10.446
3.916 0.223 4.049
2.151 3.280 4.049
1.323 5.286 5.821
1.779 5.549 11.895
2.606 4.527 1.575
1.307 6.777 1.575
5.223 0.006 7.973
3.916 2.261 2.561
3.916 2.261 6.927
2.617 4.520 7.973
2.611 6.030 3.696
5.239 1.497 12.218
3.916 3.789 12.218
5.695 1.234 5.497
3.916 4.315 5.497
6.527 0.753 10.094
3.916 5.276 10.094
5.681 3.280 4.049
6.522 2.256 7.973
5.215 4.520 7.973
```

Largest 8 diffraction maxima, by intensity, 2θ from 15° to 90°:
2θ 29.8, 2.996 Å, I = 100
2θ 27.2, 3.278 Å, I = 43
2θ 55.0, 1.670 Å, I = 40
2θ 27.9, 3.199 Å, I = 37
2θ 46.4, 1.958 Å, I = 35
2θ 50.6, 1.805 Å, I = 33
2θ 56.1, 1.639 Å, I = 24
2θ 33.8, 2.655 Å, I = 20

---

Structure and computed PXRD pattern of KTa4N5F (DFT lattice parameters and positions (PBE); Cu Kα X-rays).

Structure:
```
KTa4N5F
1.0
4.124 0.000 0.000
0.000 4.124 0.000
0.000 0.000 8.742
K Ta N F
1 4 5 1
Cartesian
0.000 0.000 0.000
0.000 2.062 4.371
2.062 0.000 4.371
2.062 2.062 2.110
2.062 2.062 6.632
0.000 0.000 4.371
0.000 2.062 2.226
0.000 2.062 6.516
2.062 0.000 2.226
2.062 0.000 6.516
2.062 2.062 0.000
```

Largest 8 diffraction maxima, by intensity, 2θ from 15° to 90°:
2θ 37.1, 2.426 Å, I = 100
2θ 43.9, 2.062 Å, I = 84
2θ 29.8, 3.000 Å, I = 79
2θ 32.4, 2.766 Å, I = 76
2θ 61.9, 1.500 Å, I = 60
2θ 21.5, 4.124 Å, I = 59
2θ 41.3, 2.186 Å, I = 37
2θ 54.0, 1.699 Å, I = 30

---

Structure and computed PXRD pattern of K3NaTaSiF13 (DFT lattice parameters and positions (PBE); Cu Kα X-rays).

Structure:
```
K3NaTaSiF13
1.0
-2.716 5.701 7.816
2.716 -5.701 7.816
2.716 5.701 -7.816
K Na Ta Si F
6 2 2 2 26
Cartesian
0.000 0.000 2.033
2.716 3.224 -2.141
2.716 3.224 2.141
0.000 2.477 5.675
0.000 2.477 9.958
0.000 0.000 13.600
2.716 0.000 0.000
0.000 5.701 0.000
2.716 0.000 4.250
0.000 5.701 3.567
0.000 2.715 0.000
0.000 8.688 0.000
1.448 -1.414 3.778
3.984 -1.414 3.778
2.716 -2.993 6.120
1.193 1.480 0.000
4.239 1.480 0.000
2.716 0.000 2.188
1.239 3.867 0.000
1.477 -1.834 7.816
0.000 2.708 1.696
1.448 1.414 3.778
3.984 1.414 3.778
1.208 5.701 -2.030
1.508 0.000 5.787
1.208 5.701 2.030
1.508 0.000 9.846
-1.268 4.288 4.039
1.268 4.288 4.039
2.716 2.993 6.120
1.239 7.536 0.000
1.477 1.834 7.816
0.000 5.701 5.629
-1.523 4.221 7.816
1.523 4.221 7.816
0.000 8.695 1.696
-1.268 7.115 4.039
1.268 7.115 4.039
```

Largest 8 diffraction maxima, by intensity, 2θ from 15° to 90°:
2θ 19.3, 4.606 Å, I = 100
2θ 21.4, 4.154 Å, I = 91
2θ 18.1, 4.904 Å, I = 78
2θ 29.2, 3.056 Å, I = 78
2θ 46.2, 1.966 Å, I = 59
2θ 28.7, 3.114 Å, I = 56
2θ 28.4, 3.139 Å, I = 53
2θ 15.5, 5.701 Å, I = 36

---

Structure and computed PXRD pattern of KNa2ZrF7 (DFT lattice parameters and positions (PBE); Cu Kα X-rays).

Structure:
```
KNa2ZrF7
1.0
7.966 0.000 0.000
0.000 6.003 0.000
0.000 0.000 5.762
K Na Zr F
2 4 2 14
Cartesian
0.000 1.408 0.000
3.983 4.595 2.881
1.904 4.281 5.672
2.079 1.723 2.791
5.887 1.723 2.791
6.062 4.281 5.672
0.000 4.951 2.850
3.983 1.053 5.732
0.000 1.024 3.198
0.000 3.528 1.350
0.000 5.073 4.903
1.510 5.702 1.628
1.560 3.715 3.475
2.424 2.289 0.594
2.473 0.301 4.509
3.983 0.930 2.022
3.983 2.475 4.231
3.983 4.980 0.317
5.493 0.301 4.509
5.543 2.289 0.594
6.407 3.715 3.475
6.456 5.702 1.628
```

Largest 8 diffraction maxima, by intensity, 2θ from 15° to 90°:
2θ 31.1, 2.877 Å, I = 100
2θ 18.5, 4.794 Å, I = 41
2θ 19.0, 4.669 Å, I = 37
2θ 21.4, 4.157 Å, I = 34
2θ 55.3, 1.662 Å, I = 32
2θ 43.5, 2.079 Å, I = 29
2θ 45.6, 1.991 Å, I = 28
2θ 41.5, 2.176 Å, I = 25

---

Structure and computed PXRD pattern of K5Pr4Si4O16F (DFT lattice parameters and positions (PBE); Cu Kα X-rays).

Structure:
```
K5Pr4Si4O16F
1.0
-6.173 6.173 2.753
6.173 -6.173 2.753
6.173 6.173 -2.753
K Pr Si O F
5 4 4 16 1
Cartesian
0.000 0.000 0.000
7.313 1.254 0.004
1.254 5.034 -0.004
4.920 1.139 2.749
-1.139 4.920 2.757
4.720 3.900 -0.095
2.273 -1.453 2.848
3.900 7.627 0.095
1.453 2.273 2.658
3.032 1.286 0.050
4.888 -3.141 2.702
1.286 9.314 -0.050
3.141 4.888 2.803
6.793 3.741 -1.427
4.670 1.430 -0.021
9.538 2.459 -0.306
3.640 5.747 -1.392
2.533 0.426 1.360
2.459 2.808 0.306
4.743 -1.503 2.774
-0.619 2.432 1.325
6.600 3.640 1.392
1.430 7.676 0.021
3.741 5.554 1.427
-3.365 3.714 2.447
2.432 0.619 4.180
3.714 3.365 3.058
1.503 4.743 2.731
-0.426 2.533 4.145
0.000 0.000 2.753
```

Largest 8 diffraction maxima, by intensity, 2θ from 15° to 90°:
2θ 30.7, 2.908 Å, I = 100
2θ 32.5, 2.756 Å, I = 74
2θ 22.8, 3.901 Å, I = 59
2θ 17.6, 5.028 Å, I = 57
2θ 27.1, 3.296 Å, I = 54
2θ 46.6, 1.950 Å, I = 48
2θ 40.0, 2.252 Å, I = 44
2θ 34.1, 2.630 Å, I = 43

---

Structure and computed PXRD pattern of KRe2O4F7 (DFT lattice parameters and positions (PBE); Cu Kα X-rays).

Structure:
```
KRe2O4F7
1.0
5.156 0.000 0.000
0.000 4.767 0.000
-3.662 0.000 13.953
K Re O F
2 4 8 14
Cartesian
-0.916 0.737 3.488
-2.747 4.031 10.465
-0.303 1.215 8.453
1.528 3.553 1.476
-0.034 1.215 12.477
1.797 3.553 5.501
-0.567 1.904 6.922
-2.398 2.864 13.899
-1.538 0.410 12.673
0.293 4.357 5.696
1.201 0.410 8.257
3.032 4.357 1.280
3.892 1.904 0.054
2.061 2.864 7.031
-1.936 1.806 9.331
-0.105 2.961 2.354
0.510 0.351 1.243
-1.321 4.417 8.219
1.053 2.042 4.674
-0.778 2.725 11.651
-0.169 0.414 10.465
1.663 4.353 3.488
2.272 2.042 2.303
0.441 2.725 9.279
2.815 0.351 5.734
0.984 4.417 12.710
1.599 1.806 11.599
3.430 2.961 4.622
```

Largest 8 diffraction maxima, by intensity, 2θ from 15° to 90°:
2θ 25.5, 3.491 Å, I = 100
2θ 26.8, 3.329 Å, I = 55
2θ 19.7, 4.511 Å, I = 40
2θ 35.0, 2.563 Å, I = 38
2θ 24.4, 3.643 Å, I = 33
2θ 17.8, 4.987 Å, I = 31
2θ 27.2, 3.276 Å, I = 28
2θ 57.3, 1.608 Å, I = 27

---

Structure and computed PXRD pattern of K2TaOF5 (DFT lattice parameters and positions (PBE); Cu Kα X-rays).

Structure:
```
K2TaOF5
1.0
0.000 3.908 4.093
3.886 0.000 4.093
3.886 3.908 0.000
K Ta O F
2 1 1 5
Cartesian
1.943 1.954 0.000
1.943 1.954 4.093
3.886 3.908 2.150
3.886 3.908 3.934
3.886 3.908 0.069
3.886 1.938 6.053
5.836 3.908 6.051
1.937 3.908 6.051
3.886 5.877 6.053
```

Largest 8 diffraction maxima, by intensity, 2θ from 15° to 90°:
2θ 19.4, 4.572 Å, I = 100
2θ 31.7, 2.823 Å, I = 45
2θ 32.5, 2.756 Å, I = 20
2θ 38.2, 2.355 Å, I = 18
2θ 38.1, 2.365 Å, I = 18
2θ 36.7, 2.446 Å, I = 18
2θ 44.3, 2.047 Å, I = 11
2θ 21.7, 4.093 Å, I = 11